(1)
Theoretical powder diffractogram
Compound: P5C4
Radiation: Cu Kα
Structure: the PBE geometry in Alexandria

Principal peaks in the range 5 to 70 degrees two-theta, sorted by position:
| Position (°2θ) | I_rel |
| --- | --- |
| 15.56 | 49 |
| 22.08 | 27 |
| 24.30 | 39 |
| 33.06 | 18 |
| 35.24 | 20 |
| 40.11 | 100 |
| 44.04 | 29 |
| 47.92 | 17 |
| 51.82 | 25 |
| 61.86 | 26 |

Structural model:
Cell: 6.0545 6.0545 6.0545 Å, 96.62 96.62 140.29°
Fractional positions:
P 0.0000 0.0000 0.0000
P 0.3630 0.3630 0.7259
P 0.3630 0.6370 0.0000
P 0.6370 0.3630 0.0000
P 0.6370 0.6370 0.2741
C 0.0000 0.4176 0.4176
C 0.0000 0.5824 0.5824
C 0.4176 0.0000 0.4176
C 0.5824 0.0000 0.5824

(2)
Theoretical powder diffractogram
Compound: FePt6W
Radiation: Cu Kα
Structure: the PBE geometry in Alexandria

Principal peaks in the range 5 to 70 degrees two-theta, sorted by position:
| Position (°2θ) | I_rel |
| --- | --- |
| 12.60 | 3 |
| 20.20 | 1 |
| 22.34 | 1 |
| 25.32 | 3 |
| 39.61 | 100 |
| 45.59 | 17 |
| 46.30 | 32 |
| 66.97 | 16 |
| 67.09 | 5 |
| 67.55 | 11 |

Structural model:
Cell: 4.8528 4.8528 7.8377 Å, 113.89 113.89 47.71°
Fractional positions:
Fe 0.0000 0.0000 0.0000
Pt 0.2498 0.2498 0.3746
Pt 0.2495 0.2495 0.8757
Pt 0.4984 0.4984 0.2521
Pt 0.5016 0.5016 0.7479
Pt 0.7505 0.7505 0.1243
Pt 0.7502 0.7502 0.6254
W 0.0000 0.0000 0.5000